Sm6Hg3Ir: simulated X-ray powder pattern (copper Kα), based on a crystal structure in Alexandria, relaxed with PBE.
Peak positions follow from Bragg's law for the DFT cell and can differ from measured ones.

Most intense lines, 5 to 70 degrees two-theta, sorted by position:
two_theta	I (rel.)	hkl
15.2	41	0 1 2
27.0	24	1 0 4
30.7	23	0 2 4
30.8	100	1 3 1
32.8	65	3 1 2
34.0	33	2 1 4
34.9	70	2 2 3
39.3	24	1 2 5
45.3	20	3 2 4
55.7	16	1 3 7

Cell and atoms:
a b c (Å): 12.3424 12.3424 13.9053
angles (deg): 90.00 90.00 120.00
Space group R-3c (No. 167, hexagonal axes)
One atom of each set of equivalent atoms:
Sm  0.0380  0.1958  0.3821 x36
Hg  0.0000  0.3964  0.2500 x18
Ir  0.0000  0.0000  0.0000 x6